Diffraction record for Mn7BiO12. The powder diffractogram is calculated, not measured: it uses a crystal structure in the Materials Project, relaxed with PBE+U and Cu Kα, 1.54184 Å.

Crystal structure
abc: 6.5502 6.5502 7.5888
angles: 125.13 125.13 70.47
Sites, in units of the cell vectors:
1 Mn 0.0000 0.0000 0.0000
2 Mn 0.0000 0.0000 0.5000
3 Mn 0.0000 0.5000 0.0000
4 Mn 0.0000 0.5000 0.5000
5 Mn 0.5000 0.0000 0.0000
6 Mn 0.5000 0.0000 0.5000
7 Mn 0.5000 0.5000 0.0000
8 Bi 0.5000 0.5000 0.5000
9 O 0.0176 0.6337 0.3336
10 O 0.1855 0.1855 0.0042
11 O 0.1974 0.1974 0.3665
12 O 0.3194 0.6701 0.1857
13 O 0.3299 0.6806 0.8143
14 O 0.3663 0.9824 0.6664
15 O 0.6337 0.0176 0.3336
16 O 0.6701 0.3194 0.1857
17 O 0.6806 0.3299 0.8143
18 O 0.8026 0.8026 0.6335
19 O 0.8145 0.8145 0.9958
20 O 0.9824 0.3663 0.6664

Peak list (6 most intense, 15 to 90 degrees two-theta, most intense first)
33.5°, 2.677 Å, intensity 100
16.5°, 5.362 Å, intensity 37
59.8°, 1.546 Å, intensity 29
33.3°, 2.693 Å, intensity 21
47.9°, 1.898 Å, intensity 20
59.6°, 1.552 Å, intensity 19

=====

Diffraction record for Mn2Bi3O7. The powder diffractogram is calculated, not measured: it uses a crystal structure in the Materials Project, relaxed with PBE+U and Cu Kα, 1.54184 Å.

Crystal structure
abc: 10.7152 10.7152 5.8079
angles: 90.00 90.00 148.22
Sites, in units of the cell vectors:
1 Mn 0.1040 0.8960 0.0000
2 Mn 0.3527 0.5671 0.4916
3 Mn 0.5671 0.3527 0.4916
4 Mn 0.8960 0.1040 0.0000
5 Bi 0.1481 0.7775 0.4697
6 Bi 0.3216 0.6950 0.9644
7 Bi 0.5589 0.5589 0.0900
8 Bi 0.6950 0.3216 0.9644
9 Bi 0.7775 0.1481 0.4697
10 Bi 0.8526 0.8526 0.5864
11 O 0.1003 0.6762 0.0675
12 O 0.1021 0.3574 0.7264
13 O 0.1206 0.3817 0.2507
14 O 0.3574 0.1021 0.7264
15 O 0.3688 0.8049 0.5762
16 O 0.3817 0.1206 0.2507
17 O 0.4785 0.4785 0.4681
18 O 0.6055 0.7913 0.2413
19 O 0.6126 0.7986 0.7238
20 O 0.6762 0.1003 0.0675
21 O 0.7913 0.6055 0.2413
22 O 0.7986 0.6126 0.7238
23 O 0.8049 0.3688 0.5762
24 O 0.9335 0.9335 0.9698

Peak list (6 most intense, 15 to 90 degrees two-theta, most intense first)
30.7°, 2.917 Å, intensity 100
25.2°, 3.538 Å, intensity 33
43.9°, 2.063 Å, intensity 31
22.0°, 4.047 Å, intensity 25
30.8°, 2.904 Å, intensity 23
30.5°, 2.934 Å, intensity 21

=====

Diffraction record for Mn7BiO12. The powder diffractogram is calculated, not measured: it uses a crystal structure in the Materials Project, relaxed with PBE+U and Cu Kα, 1.54184 Å.

Crystal structure
abc: 6.5720 6.5720 6.5720
angles: 109.47 109.47 109.47
Sites, in units of the cell vectors:
1 Mn 0.0000 0.0000 0.5000
2 Mn 0.0000 0.5000 0.0000
3 Mn 0.0000 0.5000 0.5000
4 Mn 0.5000 0.0000 0.0000
5 Mn 0.5000 0.0000 0.5000
6 Mn 0.5000 0.5000 0.0000
7 Mn 0.5000 0.5000 0.5000
8 Bi 0.0000 0.0000 0.0000
9 O 0.1332 0.8253 0.3079
10 O 0.1747 0.3079 0.4827
11 O 0.1747 0.6921 0.8668
12 O 0.3079 0.1332 0.8253
13 O 0.3079 0.4827 0.1747
14 O 0.4827 0.1747 0.3079
15 O 0.5173 0.8253 0.6921
16 O 0.6921 0.5173 0.8253
17 O 0.6921 0.8668 0.1747
18 O 0.8253 0.3079 0.1332
19 O 0.8253 0.6921 0.5173
20 O 0.8668 0.1747 0.6921

Peak list (6 most intense, 15 to 90 degrees two-theta, most intense first)
33.4°, 2.683 Å, intensity 100
59.7°, 1.549 Å, intensity 48
16.5°, 5.366 Å, intensity 37
48.0°, 1.897 Å, intensity 25
44.7°, 2.028 Å, intensity 22
37.5°, 2.400 Å, intensity 19